Entry 1:
For LiAgI2, DFT lattice parameters and positions (PBE) gives the simulated powder X-ray diffraction pattern in this record (Cu Kα X-rays).

```
4
Lattice="4.615 0.000 0.000 -2.308 3.997 0.000 0.000 0.000 7.470" Properties=species:S:1:pos:R:3 pbc="T T T"
Li 0.000 0.000 0.000
Ag 0.000 2.665 3.687
I 0.000 0.000 4.707
I 0.000 2.665 0.828
```

Main lines, sorted by position (10° ≤ 2θ ≤ 80°):
| 2θ/deg | I_rel |
| --- | --- |
| 11.85 | 30 |
| 22.24 | 100 |
| 23.82 | 49 |
| 25.27 | 98 |
| 32.82 | 57 |
| 39.03 | 73 |
| 42.79 | 73 |
| 46.24 | 49 |
| 66.83 | 33 |
| 73.29 | 29 |

Entry 2:
For Hf3Mg4, DFT lattice parameters and positions (PBE) gives the simulated powder X-ray diffraction pattern in this record (Cu Kα X-rays).

```
14
Lattice="8.351 0.000 0.000 -4.175 7.232 0.000 0.000 0.000 5.059" Properties=species:S:1:pos:R:3 pbc="T T T"
Hf -1.116 3.464 1.265
Hf -0.617 6.466 1.265
Hf 2.442 2.699 3.794
Hf 1.733 4.533 1.265
Hf 4.792 0.766 3.794
Hf 5.291 3.767 3.794
Mg -0.577 1.755 3.794
Mg -2.367 6.854 3.794
Mg 1.231 1.377 1.265
Mg 0.000 4.821 3.794
Mg 4.175 2.411 1.265
Mg 2.944 5.855 3.794
Mg 6.542 0.377 1.265
Mg 4.752 5.477 1.265
```

Main lines, sorted by position (10° ≤ 2θ ≤ 80°):
| 2θ/deg | I_rel |
| --- | --- |
| 12.24 | 44 |
| 21.44 | 45 |
| 27.70 | 27 |
| 32.76 | 38 |
| 35.49 | 25 |
| 37.39 | 100 |
| 49.07 | 25 |
| 58.49 | 19 |
| 64.98 | 20 |
| 70.31 | 20 |